Structure and calculated powder diffraction line list of PrAl2Ga2 (a structure optimized by DFT (GGA-PBE); Cu Kα).

Largest 6 diffraction maxima, sorted by position, 2θ = 10–90°:
2θ (°)	I (rel.)
29.70	679
31.90	1000
33.83	841
42.49	545
45.80	575
54.11	451

Structure:
```
PrAl2Ga2
1.0
4.255 0.000 0.000
0.000 4.255 0.000
0.000 0.000 11.192
Pr Al Ga
2 4 4
direct
0.000 0.000 0.000
0.500 0.500 0.500
0.000 0.500 0.250
0.000 0.500 0.750
0.500 0.000 0.250
0.500 0.000 0.750
0.000 0.000 0.387
0.000 0.000 0.613
0.500 0.500 0.113
0.500 0.500 0.887
```

Structure and calculated powder diffraction line list of SnH22C6N2Cl4 (a structure optimized by DFT (GGA-PBE); Cu Kα).

Largest 6 diffraction maxima, sorted by position, 2θ = 10–90°:
2θ (°)	I (rel.)
11.17	890
13.64	712
13.81	497
16.18	1000
27.51	492
28.25	565

Structure:
```
SnH22C6N2Cl4
1.0
6.600 0.000 0.000
-0.544 7.403 0.000
-1.107 -2.830 7.919
Sn H C N Cl
1 22 6 2 4
direct
0.000 0.000 0.000
0.059 0.739 0.495
0.124 0.566 0.217
0.192 0.535 0.490
0.205 0.275 0.915
0.221 0.043 0.767
0.247 0.793 0.290
0.331 0.771 0.571
0.386 0.125 0.969
0.431 0.322 0.638
0.437 0.437 0.279
0.461 0.575 0.141
0.539 0.425 0.859
0.563 0.563 0.721
0.569 0.678 0.362
0.614 0.875 0.031
0.669 0.229 0.429
0.753 0.207 0.710
0.779 0.957 0.233
0.795 0.725 0.085
0.808 0.465 0.510
0.876 0.434 0.783
0.941 0.261 0.505
0.204 0.677 0.478
0.234 0.127 0.900
0.443 0.581 0.269
0.557 0.419 0.731
0.766 0.873 0.100
0.796 0.323 0.522
0.245 0.658 0.305
0.755 0.342 0.695
0.149 0.666 0.896
0.245 0.089 0.300
0.755 0.911 0.700
0.851 0.334 0.104
```

Structure and calculated powder diffraction line list of NiBiSe (a structure optimized by DFT (GGA-PBE); Cu Kα).

Largest 6 diffraction maxima, sorted by position, 2θ = 10–90°:
2θ (°)	I (rel.)
32.09	1000
35.25	615
48.40	348
55.09	356
69.00	212
83.45	202

Structure:
```
NiBiSe
1.0
6.237 0.000 0.000
0.000 6.237 0.000
0.000 0.000 6.237
Ni Bi Se
4 4 4
direct
0.234 0.266 0.734
0.266 0.734 0.234
0.734 0.234 0.266
0.766 0.766 0.766
0.117 0.117 0.117
0.383 0.883 0.617
0.617 0.383 0.883
0.883 0.617 0.383
0.121 0.621 0.879
0.379 0.379 0.379
0.621 0.879 0.121
0.879 0.121 0.621
```

Structure and calculated powder diffraction line list of LiNbP4O12 (a structure optimized by DFT (GGA-PBE); Cu Kα).

Largest 6 diffraction maxima, sorted by position, 2θ = 10–90°:
2θ (°)	I (rel.)
13.38	350
16.74	501
20.33	908
25.55	563
27.36	605
29.08	1000

Structure:
```
LiNbP4O12
1.0
6.074 -4.236 0.000
6.074 4.236 0.000
-5.003 0.000 8.917
Li Nb P O
2 2 8 24
direct
0.000 0.500 0.000
0.500 0.000 0.500
0.057 0.943 0.250
0.943 0.057 0.750
0.259 0.724 0.523
0.276 0.741 0.977
0.295 0.311 0.301
0.311 0.295 0.801
0.689 0.705 0.199
0.705 0.689 0.699
0.724 0.259 0.023
0.741 0.276 0.477
0.094 0.838 0.594
0.126 0.281 0.824
0.162 0.906 0.906
0.191 0.718 0.082
0.193 0.350 0.156
0.226 0.499 0.437
0.281 0.126 0.324
0.282 0.809 0.418
0.306 0.533 0.848
0.350 0.193 0.656
0.467 0.694 0.652
0.499 0.226 0.937
0.501 0.774 0.063
0.533 0.306 0.348
0.650 0.807 0.344
0.694 0.467 0.152
0.718 0.191 0.582
0.719 0.874 0.676
0.774 0.501 0.563
0.807 0.650 0.844
0.809 0.282 0.918
0.838 0.094 0.094
0.874 0.719 0.176
0.906 0.162 0.406
```